# CrHg2As
Calculated XRD peak list, a wavelength of 1.5418 Å. Input: a crystal structure in Alexandria, relaxed with GGA-PBE.
Neutral-atom scattering factors, no anomalous dispersion.

The 10 most intense peaks (2θ = 10–90°), in order of rising 2θ:
4.187 Å, 21.2°, intensity 21; 3.386 Å, 26.3°, intensity 21; 3.152 Å, 28.3°, intensity 100; 3.028 Å, 29.5°, intensity 48; 2.633 Å, 34.1°, intensity 19; 2.307 Å, 39.0°, intensity 46; 2.201 Å, 41.0°, intensity 35; 2.141 Å, 42.2°, intensity 23; 1.878 Å, 48.5°, intensity 23; 1.669 Å, 55.0°, intensity 20

Structure:
```
8
Lattice="-4.7884 4.7884 2.3277 4.7884 -4.7884 2.3277 4.7884 4.7884 -2.3277" Properties=species:S:1:pos:R:3 pbc="T T T"
Cr 0.0000 0.0000 0.0000
Cr 0.0000 4.7884 1.1638
Hg 7.1827 1.3359 -0.5819
Hg 1.3359 2.3942 0.5819
Hg -2.3942 3.4526 1.7457
Hg 3.4526 2.3942 2.9096
As 4.7884 0.0000 1.1638
As 0.0000 0.0000 2.3277
```


# CrHgAs2
Calculated XRD peak list, a wavelength of 1.5418 Å. Input: a crystal structure in Alexandria, relaxed with GGA-PBE.
Neutral-atom scattering factors, no anomalous dispersion.

The 10 most intense peaks (2θ = 10–90°), in order of rising 2θ:
4.713 Å, 18.8°, intensity 35; 3.142 Å, 28.4°, intensity 55; 2.878 Å, 31.1°, intensity 100; 2.786 Å, 32.1°, intensity 35; 2.570 Å, 34.9°, intensity 34; 2.257 Å, 40.0°, intensity 28; 2.073 Å, 43.7°, intensity 61; 1.947 Å, 46.7°, intensity 23; 1.937 Å, 46.9°, intensity 26; 1.759 Å, 52.0°, intensity 56

Structure:
```
4
Lattice="-1.4085 1.6184 9.4258 1.4085 -1.6184 9.4258 1.4085 1.6184 -9.4258" Properties=species:S:1:pos:R:3 pbc="T T T"
Cr 0.0000 0.0000 0.0000
Hg 1.4085 0.0000 4.3332
As 0.0000 0.0000 10.7176
As 0.0000 1.6184 7.3803
```